Record 1
Cu6BiSe6: simulated powder diffractogram (λ = 1.5418 Å (Cu Kα)), based on a DFT-relaxed cell (PBE, Alexandria).

Atomic structure:
```
data_Cu6BiSe6
_space_group_name_H-M_alt 'P n m a'
_space_group_IT_number 62
_cell_length_a 9.6673
_cell_length_b 4.0220
_cell_length_c 27.2770
_cell_angle_alpha 90.00
_cell_angle_beta 90.00
_cell_angle_gamma 90.00
loop_
_space_group_symop_operation_xyz
'x,y,z'
'-x,-y,-z'
'-x+1/2,-y,z+1/2'
'x+1/2,y,-z+1/2'
'x+1/2,-y+1/2,-z+1/2'
'-x+1/2,y+1/2,z+1/2'
'-x,y+1/2,-z'
'x,-y+1/2,z'
loop_
_atom_site_label
_atom_site_fract_x
_atom_site_fract_y
_atom_site_fract_z
Cu1 0.0249 0.2500 0.1156
Cu2 0.0693 0.2500 0.0233
Cu3 0.0821 0.2500 0.4960
Cu4 0.1519 0.2500 0.2594
Cu5 0.1893 0.2500 0.7864
Cu6 0.2157 0.7500 0.4465
Bi1 0.1036 0.2500 0.6394
Se1 0.0119 0.7500 0.2676
Se2 0.0303 0.2500 0.9347
Se3 0.1326 0.2500 0.4004
Se4 0.1691 0.7500 0.5359
Se5 0.1850 0.7500 0.8330
Se6 0.2120 0.2500 0.1723
```

Main lines, by intensity (2θ = 5–70°):
- 2θ = 28.88°, rel. 100, hkl 2 1 0
- 2θ = 45.08°, rel. 98, hkl 0 2 0
- 2θ = 48.97°, rel. 78, hkl 0 1 13
- 2θ = 46.91°, rel. 70, hkl 4 1 5
- 2θ = 24.61°, rel. 63, hkl 2 0 5
- 2θ = 29.08°, rel. 59, hkl 2 1 1

=====

Record 2
Sn2Os2F: simulated powder diffractogram (λ = 1.5418 Å (Cu Kα)), based on a DFT-relaxed cell (PBE, Alexandria).

Atomic structure:
```
data_Sn2Os2F
_space_group_name_H-M_alt 'I 4/m m m'
_space_group_IT_number 139
_space_group_name_Hall '-I 4 2'
_cell_length_a 3.6332
_cell_length_b 3.6332
_cell_length_c 14.6277
_cell_angle_alpha 90.00
_cell_angle_beta 90.00
_cell_angle_gamma 90.00
loop_
_atom_site_label
_atom_site_fract_x
_atom_site_fract_y
_atom_site_fract_z
Sn1 0.0000 0.0000 0.1002
Os1 0.0000 0.5000 0.2500
F1 0.0000 0.0000 0.5000
```

Main lines, by intensity (2θ = 5–70°):
- 2θ = 12.10°, rel. 100, hkl 0 0 2
- 2θ = 37.09°, rel. 79, hkl 1 1 2
- 2θ = 43.03°, rel. 74, hkl 1 1 4
- 2θ = 50.22°, rel. 31, hkl 2 0 0
- 2θ = 25.26°, rel. 30, hkl 1 0 1
- 2θ = 36.87°, rel. 28, hkl 0 0 6